The following is a computed powder XRD pattern of Nd2Tc2P2C. It was derived from a DFT-relaxed cell (GGA-PBE, Alexandria), using λ = 1.5418 Å (Cu Kα).

Structural model:
abc: 5.9820 5.9820 6.8837
angles: 122.56 122.56 39.00
Fractional coordinates of all 7 atoms:
1 Nd 0.0646 0.0646 0.3104
2 Nd 0.9354 0.9354 0.6896
3 Tc 0.3038 0.3038 0.9139
4 Tc 0.6962 0.6962 0.0861
5 P 0.3186 0.3186 0.2763
6 P 0.6814 0.6814 0.7237
7 C 0.5000 0.5000 0.0000

Largest 10 diffraction maxima, by angle, 2θ from 5° to 70°:
Position (°2θ)  d/Å  Rel. int.
24.27  3.667  29.7
31.19  2.867  51.0
31.96  2.800  30.0
32.72  2.737  79.1
33.20  2.699  30.8
35.45  2.532  100.0
36.81  2.442  40.7
45.42  1.997  34.4
56.14  1.638  27.3
62.87  1.478  31.9